This entry pairs a crystal structure of CsS2NO4F2 with its calculated powder diffractogram. Radiation: CuKα. Structure: the GGA-PBE geometry in the Materials Project.
Lines closer than 0.1° are merged.

```
CsS2NO4F2
1.0
8.1163 0.0000 0.0000
0.0000 8.6992 0.0000
-6.3453 0.0000 10.6522
Cs S N O F
4 8 4 16 8
Direct
0.2330 0.2439 0.0883
0.2330 0.2561 0.5883
0.7670 0.7439 0.4117
0.7670 0.7561 0.9117
0.2088 0.6022 0.3435
0.2088 0.8978 0.8435
0.3569 0.6875 0.0384
0.3569 0.8125 0.5384
0.6431 0.1875 0.4616
0.6431 0.3125 0.9616
0.7912 0.1022 0.1565
0.7912 0.3978 0.6565
0.3807 0.7079 0.4423
0.3807 0.7921 0.9423
0.6193 0.2079 0.0577
0.6193 0.2921 0.5577
0.0896 0.5373 0.3870
0.0896 0.9627 0.8870
0.1797 0.6025 0.9859
0.1797 0.8975 0.4859
0.2805 0.5068 0.2824
0.2805 0.9932 0.7824
0.4647 0.1109 0.3808
0.4647 0.3891 0.8808
0.5353 0.6109 0.1192
0.5353 0.8891 0.6192
0.7195 0.0068 0.2176
0.7195 0.4932 0.7176
0.8203 0.1025 0.5141
0.8203 0.3975 0.0141
0.9104 0.0373 0.1130
0.9104 0.4627 0.6130
0.0677 0.7235 0.2364
0.0677 0.7765 0.7364
0.3392 0.6880 0.6309
0.3392 0.8120 0.1309
0.6608 0.1880 0.8691
0.6608 0.3120 0.3691
0.9323 0.2235 0.2636
0.9323 0.2765 0.7636
```

Peak list (8 most intense, 2θ = 5–70°, in order of falling intensity)
3.637 Å, I 100; 4.542 Å, I 50; 4.350 Å, I 48; 2.709 Å, I 47; 3.511 Å, I 37; 3.486 Å, I 33; 1.933 Å, I 27; 2.677 Å, I 26

---

This entry pairs a crystal structure of Cs2RbNF6 with its calculated powder diffractogram. Radiation: CuKα. Structure: the GGA-PBE geometry in the Materials Project.
Lines closer than 0.1° are merged.

```
Cs2RbNF6
1.0
0.0000 4.5661 4.5661
4.5661 0.0000 4.5661
4.5661 4.5661 0.0000
Cs Rb N F
2 1 1 6
Direct
0.2500 0.2500 0.2500
0.7500 0.7500 0.7500
0.0000 0.0000 0.0000
0.5000 0.5000 0.5000
0.2973 0.2973 0.7027
0.2973 0.7027 0.2973
0.2973 0.7027 0.7027
0.7027 0.2973 0.2973
0.7027 0.2973 0.7027
0.7027 0.7027 0.2973
```

Peak list (8 most intense, 2θ = 5–70°, in order of falling intensity)
3.229 Å, I 100; 1.864 Å, I 35; 2.283 Å, I 35; 2.636 Å, I 23; 1.444 Å, I 21; 1.614 Å, I 20; 4.566 Å, I 12; 2.042 Å, I 10

---

> Number 1 is which compound?

CsS2NO4F2